1.
The following is a theoretical powder diffraction line list of InCo2Cl. It was derived from a cell relaxed with GGA-PBE, using CuKα.

Principal peaks in the range 2θ from 10° to 90°, by angle:
14.54 deg, d 6.092, I = 100
29.32 deg, d 3.046, I = 19
35.98 deg, d 2.496, I = 39
41.03 deg, d 2.200, I = 26
41.74 deg, d 2.164, I = 41
41.92 deg, d 2.155, I = 42

Structural model:
Cell lengths 12.1845, 3.1288, 4.4002 Å; angles 90.00, 90.43, 90.00 degrees
Space group Cm (No. 8)
One atom of each set of equivalent atoms:
1 In 0.0000 0.0000 0.0000 (multiplicity 2)
2 Co 0.0056 0.5000 0.5004 (multiplicity 2)
3 Co 0.3702 0.5000 0.4969 (multiplicity 2)
4 Cl 0.2293 0.0000 0.4956 (multiplicity 2)


2.
The following is a theoretical powder diffraction line list of PmYMg5. It was derived from a cell relaxed with GGA-PBE, using CuKα.

Principal peaks in the range 2θ from 10° to 90°, by angle:
18.29 deg, d 4.850, I = 46
19.00 deg, d 4.671, I = 100
25.44 deg, d 3.502, I = 78
32.39 deg, d 2.764, I = 59
33.98 deg, d 2.638, I = 82
35.18 deg, d 2.551, I = 70

Structural model:
Cell lengths 6.3717, 9.7005, 6.6788 Å; angles 90.00, 109.68, 90.00 degrees
Space group C2/m (No. 12)
One atom of each set of equivalent atoms:
1 Pm 0.0000 0.0000 0.0000 (multiplicity 2)
2 Y 0.0000 0.5000 0.5000 (multiplicity 2)
3 Mg 0.0000 0.0000 0.5000 (multiplicity 2)
4 Mg 0.2035 0.2883 0.2268 (multiplicity 8)


3.
The following is a theoretical powder diffraction line list of PPb3. It was derived from a cell relaxed with GGA-PBE, using CuKα.

Principal peaks in the range 2θ from 10° to 90°, by angle:
24.63 deg, d 3.614, I = 31
28.41 deg, d 3.142, I = 41
29.07 deg, d 3.071, I = 71
31.53 deg, d 2.837, I = 100
32.00 deg, d 2.797, I = 38
43.42 deg, d 2.084, I = 85

Structural model:
Cell lengths 6.1426, 6.3600, 6.2839 Å; angles 90.00, 90.00, 90.00 degrees
Space group Pmmn (No. 59, origin choice 2)
One atom of each set of equivalent atoms:
1 P 0.2500 0.2500 0.0643 (multiplicity 2)
2 Pb 0.2500 0.0021 0.4315 (multiplicity 4)
3 Pb 0.2500 0.7500 0.9652 (multiplicity 2)


4.
The following is a theoretical powder diffraction line list of KRb3Mn4I12. It was derived from a cell relaxed with GGA-PBE, using CuKα.

Principal peaks in the range 2θ from 10° to 90°, by angle:
16.92 deg, d 5.241, I = 67
17.35 deg, d 5.112, I = 77
19.00 deg, d 4.671, I = 93
24.95 deg, d 3.569, I = 86
28.15 deg, d 3.171, I = 100
33.49 deg, d 2.676, I = 69

Structural model:
Cell lengths 17.2643, 17.2643, 14.0127 Å; angles 90.00, 90.00, 120.00 degrees
Space group R32 (No. 155, hexagonal axes)
One atom of each set of equivalent atoms:
1 K 0.0000 0.0000 0.0000 (multiplicity 3)
2 Rb 0.0000 0.5276 0.0000 (multiplicity 9)
3 Mn 0.0000 0.0000 0.5000 (multiplicity 3)
4 Mn 0.0000 0.4637 0.5000 (multiplicity 9)
5 I 0.0000 0.6147 0.5000 (multiplicity 9)
6 I 0.0000 0.8494 0.5000 (multiplicity 9)
7 I 0.0163 0.1928 0.1586 (multiplicity 18)


5.
The following is a theoretical powder diffraction line list of CeMg2Zn4Cd. It was derived from a cell relaxed with GGA-PBE, using CuKα.

Principal peaks in the range 2θ from 10° to 90°, by angle:
23.17 deg, d 3.839, I = 53
35.67 deg, d 2.517, I = 100
38.79 deg, d 2.321, I = 90
41.57 deg, d 2.172, I = 25
53.72 deg, d 1.706, I = 30
68.21 deg, d 1.375, I = 28

Structural model:
Cell lengths 4.6429, 4.6429, 25.8178 Å; angles 90.00, 90.00, 120.00 degrees
Space group R-3m (No. 166, hexagonal axes)
One atom of each set of equivalent atoms:
1 Ce 0.0000 0.0000 0.0000 (multiplicity 3)
2 Mg 0.0000 0.0000 0.2468 (multiplicity 6)
3 Zn 0.0000 0.0000 0.1218 (multiplicity 6)
4 Zn 0.0000 0.0000 0.3891 (multiplicity 6)
5 Cd 0.0000 0.0000 0.5000 (multiplicity 3)


6.
The following is a theoretical powder diffraction line list of Hf4Si6Rh7. It was derived from a cell relaxed with GGA-PBE, using CuKα.

Principal peaks in the range 2θ from 10° to 90°, by angle:
31.47 deg, d 2.842, I = 49
38.80 deg, d 2.321, I = 100
42.05 deg, d 2.149, I = 25
45.11 deg, d 2.010, I = 65
65.70 deg, d 1.421, I = 38
79.00 deg, d 1.212, I = 33

Structural model:
Cell lengths 8.0396, 8.0396, 8.0396 Å; angles 90.00, 90.00, 90.00 degrees
Space group Im-3m (No. 229)
One atom of each set of equivalent atoms:
1 Hf 0.2500 0.2500 0.2500 (multiplicity 8)
2 Si 0.0000 0.0000 0.3182 (multiplicity 12)
3 Rh 0.0000 0.0000 0.0000 (multiplicity 2)
4 Rh 0.0000 0.2500 0.5000 (multiplicity 12)


7.
The following is a theoretical powder diffraction line list of TbYAlAg. It was derived from a cell relaxed with GGA-PBE, using CuKα.

Principal peaks in the range 2θ from 10° to 90°, by angle:
11.67 deg, d 7.581, I = 24
34.55 deg, d 2.596, I = 100
35.63 deg, d 2.520, I = 46
51.26 deg, d 1.782, I = 19
61.19 deg, d 1.515, I = 19
63.31 deg, d 1.469, I = 33

Structural model:
Cell lengths 3.5634, 3.5634, 7.5812 Å; angles 90.00, 90.00, 90.00 degrees
Space group P4mm (No. 99)
One atom of each set of equivalent atoms:
1 Tb 0.0000 0.0000 0.0000 (multiplicity 1)
2 Y 0.0000 0.0000 0.5005 (multiplicity 1)
3 Al 0.5000 0.5000 0.7494 (multiplicity 1)
4 Ag 0.5000 0.5000 0.2515 (multiplicity 1)


8.
The following is a theoretical powder diffraction line list of Li2ThNi9. It was derived from a cell relaxed with GGA-PBE, using CuKα.

Principal peaks in the range 2θ from 10° to 90°, by angle:
15.44 deg, d 5.740, I = 49
24.35 deg, d 3.655, I = 67
36.61 deg, d 2.455, I = 51
39.94 deg, d 2.257, I = 100
44.26 deg, d 2.047, I = 53
46.11 deg, d 1.969, I = 39

Structural model:
Cell lengths 8.1169, 8.1169, 4.7399 Å; angles 90.00, 90.00, 90.00 degrees
Space group P4/mbm (No. 127)
One atom of each set of equivalent atoms:
1 Li 0.1117 0.3883 0.0000 (multiplicity 4)
2 Th 0.0000 0.0000 0.0000 (multiplicity 2)
3 Ni 0.0000 0.5000 0.5000 (multiplicity 2)
4 Ni 0.0625 0.2115 0.5000 (multiplicity 8)
5 Ni 0.1806 0.6806 0.2442 (multiplicity 8)


9.
The following is a theoretical powder diffraction line list of K3I2F. It was derived from a cell relaxed with GGA-PBE, using CuKα.

Principal peaks in the range 2θ from 10° to 90°, by angle:
19.86 deg, d 4.470, I = 72
20.42 deg, d 4.349, I = 68
23.62 deg, d 3.767, I = 100
26.20 deg, d 3.401, I = 74
27.53 deg, d 3.239, I = 64
37.34 deg, d 2.408, I = 56

Structural model:
Cell lengths 13.7055, 4.6993, 14.1914 Å; angles 90.00, 90.00, 90.00 degrees
Space group Pnma (No. 62)
One atom of each set of equivalent atoms:
1 K 0.0699 0.2500 0.1446 (multiplicity 4)
2 K 0.1471 0.7500 0.5556 (multiplicity 4)
3 K 0.2274 0.2500 0.7781 (multiplicity 4)
4 I 0.0128 0.7500 0.3325 (multiplicity 4)
5 I 0.1661 0.7500 0.9737 (multiplicity 4)
6 F 0.2454 0.2500 0.1987 (multiplicity 4)


10.
The following is a theoretical powder diffraction line list of TbScHg. It was derived from a cell relaxed with GGA-PBE, using CuKα.

Principal peaks in the range 2θ from 10° to 90°, by angle:
22.01 deg, d 4.039, I = 83
35.98 deg, d 2.496, I = 99
36.39 deg, d 2.469, I = 100
42.76 deg, d 2.115, I = 36
52.10 deg, d 1.755, I = 34
65.21 deg, d 1.431, I = 35

Structural model:
Cell lengths 4.9379, 4.9379, 24.5923 Å; angles 90.00, 90.00, 120.00 degrees
Space group R-3m (No. 166, hexagonal axes)
One atom of each set of equivalent atoms:
1 Tb 0.0000 0.0000 0.1214 (multiplicity 6)
2 Sc 0.0000 0.0000 0.3709 (multiplicity 6)
3 Hg 0.0000 0.0000 0.2544 (multiplicity 6)


11.
The following is a theoretical powder diffraction line list of La3Zn6Au5. It was derived from a cell relaxed with GGA-PBE, using CuKα.

Principal peaks in the range 2θ from 10° to 90°, by angle:
28.07 deg, d 3.179, I = 37
32.85 deg, d 2.726, I = 32
33.89 deg, d 2.645, I = 100
34.36 deg, d 2.610, I = 36
34.71 deg, d 2.584, I = 27
39.51 deg, d 2.281, I = 56

Structural model:
Cell lengths 4.5622, 13.2850, 9.5456 Å; angles 90.00, 90.00, 90.00 degrees
Space group Pmmn (No. 59, origin choice 2)
One atom of each set of equivalent atoms:
1 La 0.2500 0.0534 0.2484 (multiplicity 4)
2 La 0.2500 0.7500 0.2497 (multiplicity 2)
3 Zn 0.2500 0.0792 0.9036 (multiplicity 4)
4 Zn 0.2500 0.2500 0.0521 (multiplicity 2)
5 Zn 0.2500 0.2500 0.4518 (multiplicity 2)
6 Zn 0.2500 0.6030 0.5242 (multiplicity 4)
7 Au 0.2500 0.0932 0.6252 (multiplicity 4)
8 Au 0.2500 0.6265 0.9666 (multiplicity 4)
9 Au 0.2500 0.7500 0.7151 (multiplicity 2)


12.
The following is a theoretical powder diffraction line list of Cs2Tl3F5. It was derived from a cell relaxed with GGA-PBE, using CuKα.

Principal peaks in the range 2θ from 10° to 90°, by angle:
25.59 deg, d 3.481, I = 45
25.70 deg, d 3.466, I = 41
26.96 deg, d 3.307, I = 100
29.60 deg, d 3.018, I = 96
32.17 deg, d 2.783, I = 42
44.21 deg, d 2.049, I = 29

Structural model:
Cell lengths 14.4722, 4.1112, 10.4690 Å; angles 90.00, 125.27, 90.00 degrees
Space group C2/m (No. 12)
One atom of each set of equivalent atoms:
1 Cs 0.1762 0.0000 0.2706 (multiplicity 4)
2 Tl 0.0000 0.0000 0.5000 (multiplicity 2)
3 Tl 0.1111 0.5000 0.8723 (multiplicity 4)
4 F 0.0000 0.5000 0.0000 (multiplicity 2)
5 F 0.0920 0.5000 0.4081 (multiplicity 4)
6 F 0.1973 0.0000 0.8003 (multiplicity 4)